No. 1
This entry pairs a crystal structure of Li4MnCo3O8 with its theoretical powder diffractogram. Radiation: λ = 1.5418 Å (Cu Kα). Structure: a structure optimized by DFT (PBE+U).
Kinematic intensities with the Lorentz-polarization factor, no thermal factor.

The 10 most intense peaks (5° ≤ 2θ ≤ 70°), by angle:
2θ 18.52, rel. 100; 2θ 35.85, rel. 14; 2θ 35.99, rel. 28; 2θ 37.55, rel. 15; 2θ 43.43, rel. 25; 2θ 43.80, rel. 50; 2θ 57.94, rel. 9; 2θ 63.30, rel. 14; 2θ 63.52, rel. 20; 2θ 66.89, rel. 10

Cell lengths 5.0714, 5.0714, 10.1580 Å; angles 99.05, 99.05, 33.54 degrees
Positions (direct):
Li: 0.2467 0.2467 0.1197
Li: 0.2476 0.2476 0.6296
Li: 0.7524 0.7524 0.3704
Li: 0.7533 0.7533 0.8803
Mn: 0.5000 0.5000 0.5000
Co: 0.0006 0.0006 0.2419
Co: 0.5000 0.5000 0.0000
Co: 0.9994 0.9994 0.7581
O: 0.1114 0.1114 0.9432
O: 0.1126 0.1126 0.4447
O: 0.3861 0.3861 0.8200
O: 0.3881 0.3881 0.3237
O: 0.6119 0.6119 0.6763
O: 0.6139 0.6139 0.1800
O: 0.8874 0.8874 0.5553
O: 0.8886 0.8886 0.0568

No. 2
This entry pairs a crystal structure of Li2MnCoO4 with its theoretical powder diffractogram. Radiation: λ = 1.5418 Å (Cu Kα). Structure: a structure optimized by DFT (PBE+U).
Kinematic intensities with the Lorentz-polarization factor, no thermal factor.

The 10 most intense peaks (5° ≤ 2θ ≤ 70°), by angle:
2θ 18.22, rel. 100; 2θ 34.82, rel. 33; 2θ 36.73, rel. 11; 2θ 36.91, rel. 14; 2θ 42.10, rel. 59; 2θ 44.87, rel. 23; 2θ 47.31, rel. 9; 2θ 55.75, rel. 9; 2θ 62.85, rel. 14; 2θ 63.57, rel. 14

Cell lengths 5.0783, 3.0527, 9.8633 Å; angles 90.00, 103.11, 90.00 degrees
Positions (direct):
Li: 0.1254 0.2500 0.1245
Li: 0.3753 0.7500 0.3743
Li: 0.6247 0.2500 0.6257
Li: 0.8746 0.7500 0.8755
Mn: 0.1235 0.7500 0.6264
Mn: 0.8765 0.2500 0.3736
Co: 0.3749 0.2500 0.8769
Co: 0.6251 0.7500 0.1231
O: 0.0192 0.2500 0.7545
O: 0.2296 0.2500 0.4972
O: 0.2732 0.7500 0.0007
O: 0.4760 0.7500 0.7513
O: 0.5240 0.2500 0.2487
O: 0.7268 0.2500 0.9993
O: 0.7704 0.7500 0.5028
O: 0.9808 0.7500 0.2455

No. 3
This entry pairs a crystal structure of Li7Mn2Co3O12 with its theoretical powder diffractogram. Radiation: λ = 1.5418 Å (Cu Kα). Structure: a structure optimized by DFT (PBE+U).
Kinematic intensities with the Lorentz-polarization factor, no thermal factor.

The 10 most intense peaks (5° ≤ 2θ ≤ 70°), by angle:
2θ 7.65, rel. 21; 2θ 18.40, rel. 100; 2θ 34.56, rel. 18; 2θ 36.67, rel. 13; 2θ 36.74, rel. 11; 2θ 41.46, rel. 34; 2θ 44.52, rel. 27; 2θ 44.86, rel. 26; 2θ 62.27, rel. 8; 2θ 62.59, rel. 16

Cell lengths 2.9733, 6.4308, 11.9557 Å; angles 103.01, 93.88, 103.34 degrees
Positions (direct):
Li: 0.0000 0.0000 0.0000
Li: 0.0022 0.9963 0.7451
Li: 0.0140 0.9988 0.2372
Li: 0.3439 0.6773 0.5781
Li: 0.3498 0.6873 0.0774
Li: 0.6734 0.3373 0.4137
Li: 0.6812 0.3356 0.9107
Mn: 0.6749 0.3399 0.6617
Mn: 0.6758 0.3289 0.1569
Co: 0.0125 0.0040 0.4930
Co: 0.3431 0.6862 0.8360
Co: 0.3561 0.6742 0.3267
O: 0.1566 0.3401 0.0528
O: 0.1626 0.3603 0.7863
O: 0.1937 0.3243 0.5356
O: 0.2091 0.3532 0.2739
O: 0.4869 0.0172 0.6146
O: 0.5000 0.9724 0.8621
O: 0.5161 0.0289 0.1256
O: 0.5300 0.9899 0.3761
O: 0.8133 0.6692 0.9427
O: 0.8242 0.6851 0.4475
O: 0.8600 0.6582 0.7071
O: 0.8708 0.6591 0.2099

No. 4
This entry pairs a crystal structure of Li4MnCo2O7 with its theoretical powder diffractogram. Radiation: λ = 1.5418 Å (Cu Kα). Structure: a structure optimized by DFT (PBE+U).
Kinematic intensities with the Lorentz-polarization factor, no thermal factor.

The 10 most intense peaks (5° ≤ 2θ ≤ 70°), by angle:
2θ 8.52, rel. 9; 2θ 18.28, rel. 100; 2θ 35.64, rel. 13; 2θ 35.99, rel. 25; 2θ 43.24, rel. 26; 2θ 43.53, rel. 56; 2θ 47.59, rel. 9; 2θ 57.31, rel. 10; 2θ 62.89, rel. 15; 2θ 63.17, rel. 13

Cell lengths 10.7036, 10.7036, 8.3695 Å; angles 101.59, 101.59, 15.65 degrees
Positions (direct):
Li: 0.0000 0.0000 0.0000
Li: 0.0027 0.0027 0.4975
Li: 0.1380 0.1380 0.0731
Li: 0.2870 0.2870 0.6392
Li: 0.4334 0.4334 0.2001
Li: 0.5651 0.5651 0.7953
Li: 0.7102 0.7102 0.3507
Li: 0.8603 0.8603 0.9257
Mn: 0.7134 0.7134 0.8520
Mn: 0.8579 0.8579 0.4299
Co: 0.1394 0.1394 0.5560
Co: 0.2857 0.2857 0.1397
Co: 0.4326 0.4326 0.7382
Co: 0.5678 0.5678 0.2585
O: 0.0043 0.0043 0.2536
O: 0.1417 0.1417 0.3236
O: 0.1511 0.1511 0.8226
O: 0.2765 0.2765 0.8788
O: 0.2936 0.2936 0.3986
O: 0.4191 0.4191 0.4557
O: 0.4242 0.4242 0.9470
O: 0.5725 0.5725 0.0458
O: 0.5777 0.5777 0.5297
O: 0.7092 0.7092 0.6176
O: 0.7200 0.7200 0.0878
O: 0.8512 0.8512 0.1899
O: 0.8619 0.8619 0.6591
O: 0.9949 0.9949 0.7393

No. 5
This entry pairs a crystal structure of Li4MnCo2O7 with its theoretical powder diffractogram. Radiation: λ = 1.5418 Å (Cu Kα). Structure: a structure optimized by DFT (PBE+U).
Kinematic intensities with the Lorentz-polarization factor, no thermal factor.

The 10 most intense peaks (5° ≤ 2θ ≤ 70°), by angle:
2θ 8.94, rel. 10; 2θ 18.33, rel. 100; 2θ 35.41, rel. 15; 2θ 35.86, rel. 13; 2θ 36.61, rel. 12; 2θ 42.69, rel. 29; 2θ 43.46, rel. 27; 2θ 44.47, rel. 25; 2θ 62.52, rel. 8; 2θ 62.91, rel. 7

Cell lengths 5.0025, 5.1738, 10.2108 Å; angles 98.87, 99.25, 100.72 degrees
Positions (direct):
Li: 0.0000 0.0000 0.0000
Li: 0.0006 0.9968 0.4894
Li: 0.1459 0.2827 0.2849
Li: 0.2780 0.5614 0.5505
Li: 0.4366 0.8582 0.8527
Li: 0.5749 0.1419 0.1395
Li: 0.7243 0.4182 0.4133
Li: 0.8620 0.7138 0.6978
Mn: 0.1468 0.2763 0.7760
Mn: 0.5747 0.1367 0.6318
Co: 0.2946 0.5749 0.0668
Co: 0.4379 0.8651 0.3548
Co: 0.7163 0.4242 0.9198
Co: 0.8641 0.7190 0.2132
O: 0.0655 0.5975 0.8808
O: 0.0835 0.6508 0.3754
O: 0.2079 0.9098 0.1692
O: 0.2366 0.9641 0.6791
O: 0.3627 0.2285 0.9462
O: 0.3871 0.2097 0.4706
O: 0.5025 0.4653 0.7487
O: 0.5045 0.5150 0.2389
O: 0.6290 0.8151 0.5375
O: 0.6336 0.7683 0.0289
O: 0.7715 0.0498 0.3111
O: 0.8008 0.0755 0.8008
O: 0.9262 0.3709 0.0830
O: 0.9317 0.3453 0.6150

No. 6
This entry pairs a crystal structure of Li4MnCo2O7 with its theoretical powder diffractogram. Radiation: λ = 1.5418 Å (Cu Kα). Structure: a structure optimized by DFT (PBE+U).
Kinematic intensities with the Lorentz-polarization factor, no thermal factor.

The 10 most intense peaks (5° ≤ 2θ ≤ 70°), by angle:
2θ 18.29, rel. 100; 2θ 35.53, rel. 14; 2θ 36.00, rel. 13; 2θ 36.21, rel. 12; 2θ 42.95, rel. 29; 2θ 43.66, rel. 27; 2θ 43.80, rel. 27; 2θ 47.61, rel. 9; 2θ 57.57, rel. 9; 2θ 62.99, rel. 15

Cell lengths 5.9334, 6.5691, 7.7188 Å; angles 114.58, 99.89, 103.90 degrees
Positions (direct):
Li: 0.0000 0.0000 0.0000
Li: 0.0739 0.5831 0.7247
Li: 0.2185 0.7202 0.1469
Li: 0.3597 0.8639 0.5740
Li: 0.5000 0.0000 0.0000
Li: 0.6403 0.1361 0.4260
Li: 0.7815 0.2798 0.8531
Li: 0.9261 0.4168 0.2753
Mn: 0.4276 0.4291 0.2855
Mn: 0.5724 0.5709 0.7145
Co: 0.1389 0.1372 0.4228
Co: 0.2780 0.2725 0.8584
Co: 0.7220 0.7275 0.1416
Co: 0.8611 0.8628 0.5772
O: 0.0230 0.7907 0.3626
O: 0.1420 0.3689 0.0895
O: 0.1813 0.9475 0.7850
O: 0.2761 0.4973 0.5000
O: 0.3193 0.0965 0.2328
O: 0.4017 0.6273 0.9126
O: 0.4602 0.2372 0.6465
O: 0.5398 0.7628 0.3535
O: 0.5983 0.3727 0.0874
O: 0.6807 0.9035 0.7672
O: 0.7239 0.5027 0.5000
O: 0.8187 0.0525 0.2150
O: 0.8580 0.6311 0.9105
O: 0.9770 0.2093 0.6374

No. 7
This entry pairs a crystal structure of Li7Mn2Co3O12 with its theoretical powder diffractogram. Radiation: λ = 1.5418 Å (Cu Kα). Structure: a structure optimized by DFT (PBE+U).
Kinematic intensities with the Lorentz-polarization factor, no thermal factor.

The 10 most intense peaks (5° ≤ 2θ ≤ 70°), by angle:
2θ 12.07, rel. 15; 2θ 18.37, rel. 100; 2θ 34.18, rel. 20; 2θ 36.09, rel. 13; 2θ 36.85, rel. 12; 2θ 41.04, rel. 37; 2θ 43.92, rel. 29; 2θ 45.09, rel. 26; 2θ 61.42, rel. 9; 2θ 62.59, rel. 16

Cell lengths 3.0256, 8.0444, 9.8360 Å; angles 66.36, 86.37, 89.42 degrees
Positions (direct):
Li: 0.0000 0.0000 0.0000
Li: 0.9999 0.3211 0.3406
Li: 0.0003 0.6489 0.6792
Li: 0.4957 0.1619 0.1714
Li: 0.5005 0.3230 0.8392
Li: 0.5007 0.8232 0.8390
Li: 0.5043 0.4843 0.5090
Mn: 0.0038 0.8240 0.3407
Mn: 0.4980 0.6549 0.1703
Co: 0.0005 0.1608 0.6822
Co: 0.5042 0.9933 0.5100
Co: 0.9950 0.4828 0.9972
O: 0.0058 0.2622 0.0087
O: 0.0080 0.0616 0.3479
O: 0.0276 0.5851 0.3338
O: 0.4719 0.8960 0.1760
O: 0.4729 0.2261 0.5156
O: 0.4763 0.5665 0.8521
O: 0.5200 0.0787 0.8276
O: 0.5242 0.4182 0.1636
O: 0.5294 0.7516 0.5058
O: 0.9779 0.7168 0.0110
O: 0.9911 0.9295 0.6678
O: 0.9964 0.3833 0.6702

No. 8
This entry pairs a crystal structure of Li7Mn4CoO12 with its theoretical powder diffractogram. Radiation: λ = 1.5418 Å (Cu Kα). Structure: a structure optimized by DFT (PBE+U).
Kinematic intensities with the Lorentz-polarization factor, no thermal factor.

The 10 most intense peaks (5° ≤ 2θ ≤ 70°), by angle:
2θ 10.40, rel. 7; 2θ 18.33, rel. 100; 2θ 35.42, rel. 13; 2θ 36.03, rel. 12; 2θ 36.31, rel. 12; 2θ 42.71, rel. 29; 2θ 43.65, rel. 28; 2θ 44.16, rel. 27; 2θ 62.91, rel. 8; 2θ 63.31, rel. 7

Cell lengths 5.0402, 5.1221, 8.8598 Å; angles 105.75, 90.83, 100.30 degrees
Positions (direct):
Li: 0.0000 0.0000 0.0000
Li: 0.0091 0.9920 0.3354
Li: 0.0197 0.9728 0.6460
Li: 0.5132 0.9819 0.8231
Li: 0.5232 0.9926 0.1665
Li: 0.5364 0.9794 0.4946
Li: 0.7660 0.4799 0.4129
Mn: 0.2631 0.4893 0.2509
Mn: 0.2635 0.4788 0.5730
Mn: 0.7595 0.4968 0.0865
Mn: 0.7622 0.4867 0.7398
Co: 0.2628 0.4943 0.9143
O: 0.1217 0.7154 0.1321
O: 0.1314 0.7117 0.7657
O: 0.1633 0.7055 0.4470
O: 0.3724 0.2662 0.3750
O: 0.3975 0.2679 0.0590
O: 0.3978 0.2619 0.6975
O: 0.6221 0.7141 0.6245
O: 0.6239 0.7137 0.2754
O: 0.6456 0.7278 0.9692
O: 0.8665 0.2752 0.8865
O: 0.9043 0.2688 0.1992
O: 0.9187 0.2404 0.5384

No. 9
This entry pairs a crystal structure of Li7Mn4CoO12 with its theoretical powder diffractogram. Radiation: λ = 1.5418 Å (Cu Kα). Structure: a structure optimized by DFT (PBE+U).
Kinematic intensities with the Lorentz-polarization factor, no thermal factor.

The 10 most intense peaks (5° ≤ 2θ ≤ 70°), by angle:
2θ 6.10, rel. 19; 2θ 18.38, rel. 100; 2θ 33.81, rel. 20; 2θ 36.09, rel. 12; 2θ 36.34, rel. 11; 2θ 40.70, rel. 38; 2θ 44.04, rel. 29; 2θ 44.57, rel. 27; 2θ 61.23, rel. 9; 2θ 61.49, rel. 9

Cell lengths 3.0366, 5.0663, 14.6380 Å; angles 82.23, 86.50, 86.69 degrees
Positions (direct):
Li: 0.0000 0.0000 0.0000
Li: 0.0574 0.4087 0.8449
Li: 0.2513 0.2512 0.4998
Li: 0.4270 0.0801 0.1541
Li: 0.5730 0.9199 0.8459
Li: 0.7487 0.7488 0.5002
Li: 0.9426 0.5913 0.1551
Mn: 0.1630 0.8337 0.6697
Mn: 0.3374 0.6666 0.3301
Mn: 0.6626 0.3334 0.6699
Mn: 0.8370 0.1663 0.3303
Co: 0.5000 0.5000 0.0000
O: 0.0161 0.6850 0.9282
O: 0.0973 0.1214 0.7479
O: 0.2361 0.5474 0.5906
O: 0.2664 0.9521 0.4091
O: 0.3975 0.3742 0.2553
O: 0.4573 0.7557 0.0741
O: 0.5427 0.2443 0.9259
O: 0.6025 0.6258 0.7447
O: 0.7336 0.0479 0.5909
O: 0.7639 0.4526 0.4094
O: 0.9027 0.8786 0.2521
O: 0.9839 0.3150 0.0718